[1]
Calculated X-ray powder pattern of Nb4Tl3Mo2C3 for Cu Kα (λ = 1.5418 Å), from a crystal structure in OQMD, relaxed with PBE.
Kinematic intensities with the Lorentz-polarization factor, no thermal factor.

Cell and atoms:
```
data_Nb4Tl3Mo2C3
_chemical_formula_sum 'Nb16 Tl12 Mo8 C12'
_space_group_name_H-M_alt 'C 1 2/c 1'
_space_group_IT_number 15
_cell_length_a 9.707
_cell_length_b 5.603
_cell_length_c 14.595
_cell_angle_alpha 90.00
_cell_angle_beta 102.85
_cell_angle_gamma 90.00
loop_
_space_group_symop_operation_xyz
'x,y,z'
'-x,-y,-z'
'-x,y,-z+1/2'
'x,-y,z+1/2'
'x+1/2,y+1/2,z'
'-x+1/2,-y+1/2,-z'
'-x+1/2,y+1/2,-z+1/2'
'x+1/2,-y+1/2,z+1/2'
loop_
_atom_site_label
_atom_site_fract_x
_atom_site_fract_y
_atom_site_fract_z
Nb1 0.111 0.087 0.081
Nb2 0.225 0.081 0.419
Tl1 0.000 0.091 0.750
Tl2 0.162 0.424 0.251
Mo1 0.056 0.419 0.925
C1 0.084 0.249 0.500
C2 0.250 0.250 0.000
```

Largest 6 diffraction maxima, sorted by position, 10° ≤ 2θ ≤ 80°:
| d [Å] | 2θ/deg | intensity | index |
| --- | --- | --- | --- |
| 2.802 | 31.94 | 23 | 0 2 0 |
| 2.412 | 37.27 | 100 | 3 1 2 |
| 2.372 | 37.94 | 20 | 0 0 6 |
| 1.618 | 56.92 | 20 | 6 0 -2 |
| 1.377 | 68.09 | 16 | 3 1 8 |
| 1.336 | 70.46 | 19 | 6 0 4 |

[2]
Calculated X-ray powder pattern of Na3Sr2NdPb3 for Cu Kα (λ = 1.5418 Å), from a crystal structure in OQMD, relaxed with PBE.
Kinematic intensities with the Lorentz-polarization factor, no thermal factor.

Cell and atoms:
```
data_Na3Sr2NdPb3
_chemical_formula_sum 'Na3 Sr2 Nd1 Pb3'
_space_group_name_H-M_alt 'P -6 m 2'
_space_group_IT_number 187
_space_group_name_Hall 'P -6 2'
_cell_length_a 5.3092
_cell_length_b 5.3092
_cell_length_c 11.7512
_cell_angle_alpha 90.00
_cell_angle_beta 90.00
_cell_angle_gamma 120.00
loop_
_atom_site_label
_atom_site_fract_x
_atom_site_fract_y
_atom_site_fract_z
Na1 0.0000 0.0000 0.0000
Na2 0.3333 0.6667 0.3117
Sr1 0.6667 0.3333 0.1638
Nd1 0.6667 0.3333 0.5000
Pb1 0.0000 0.0000 0.3629
Pb2 0.3333 0.6667 0.0000
```

Largest 6 diffraction maxima, sorted by position, 10° ≤ 2θ ≤ 80°:
| d [Å] | 2θ/deg | intensity | index |
| --- | --- | --- | --- |
| 4.282 | 20.74 | 80 | 1 0 1 |
| 2.982 | 29.97 | 100 | 1 0 3 |
| 2.655 | 33.76 | 91 | 1 1 0 |
| 2.476 | 36.29 | 39 | 1 0 4 |
| 1.983 | 45.76 | 31 | 2 0 3 |
| 1.576 | 58.56 | 32 | 1 1 6 |

[3]
Calculated X-ray powder pattern of AgSbPtS3 for Cu Kα (λ = 1.5418 Å), from a crystal structure in OQMD, relaxed with PBE.
Kinematic intensities with the Lorentz-polarization factor, no thermal factor.

Cell and atoms:
```
data_AgSbPtS3
_chemical_formula_sum 'Ag4 Sb4 Pt4 S12'
_space_group_name_H-M_alt 'P 21 21 21'
_space_group_IT_number 19
_cell_length_a 5.049
_cell_length_b 7.986
_cell_length_c 13.415
_cell_angle_alpha 90.00
_cell_angle_beta 90.00
_cell_angle_gamma 90.00
loop_
_space_group_symop_operation_xyz
'x,y,z'
'-x+1/2,-y,z+1/2'
'x+1/2,-y+1/2,-z'
'-x,y+1/2,-z+1/2'
loop_
_atom_site_label
_atom_site_fract_x
_atom_site_fract_y
_atom_site_fract_z
Ag1 0.039 0.104 0.447
Sb1 0.031 0.131 0.134
Pt1 0.018 0.636 0.746
S1 0.191 0.151 0.911
S2 0.225 0.379 0.711
S3 0.235 0.623 0.900
```

Largest 6 diffraction maxima, sorted by position, 10° ≤ 2θ ≤ 80°:
| d [Å] | 2θ/deg | intensity | index |
| --- | --- | --- | --- |
| 6.708 | 13.20 | 24 | 0 0 2 |
| 3.348 | 26.63 | 78 | 1 0 3 |
| 3.132 | 28.50 | 100 | 1 2 0 |
| 2.978 | 30.00 | 34 | 0 2 3 |
| 1.926 | 47.19 | 49 | 2 2 3 |
| 1.715 | 53.43 | 21 | 1 4 3 |

[4]
Calculated X-ray powder pattern of TlFeOsAu for Cu Kα (λ = 1.5418 Å), from a crystal structure in OQMD, relaxed with PBE.
Kinematic intensities with the Lorentz-polarization factor, no thermal factor.

Cell and atoms:
```
data_TlFeOsAu
_chemical_formula_sum 'Tl4 Fe4 Os4 Au4'
_space_group_name_H-M_alt 'F -4 3 m'
_space_group_IT_number 216
_space_group_name_Hall 'F -4 2 3'
_cell_length_a 6.455
_cell_length_b 6.455
_cell_length_c 6.455
_cell_angle_alpha 90.00
_cell_angle_beta 90.00
_cell_angle_gamma 90.00
loop_
_atom_site_label
_atom_site_fract_x
_atom_site_fract_y
_atom_site_fract_z
Tl1 0.000 0.000 0.000
Fe1 0.250 0.250 0.250
Os1 0.250 0.250 0.750
Au1 0.000 0.000 0.500
```

Largest 6 diffraction maxima, sorted by position, 10° ≤ 2θ ≤ 80°:
| d [Å] | 2θ/deg | intensity | index |
| --- | --- | --- | --- |
| 3.727 | 23.88 | 9 | 1 1 1 |
| 3.227 | 27.64 | 7 | 2 0 0 |
| 2.282 | 39.49 | 100 | 2 2 0 |
| 1.946 | 46.67 | 5 | 3 1 1 |
| 1.614 | 57.08 | 17 | 4 0 0 |
| 1.318 | 71.62 | 35 | 4 2 2 |

[5]
Calculated X-ray powder pattern of AgIrCl6 for Cu Kα (λ = 1.5418 Å), from a crystal structure in OQMD, relaxed with PBE.
Kinematic intensities with the Lorentz-polarization factor, no thermal factor.

Cell and atoms:
```
data_AgIrCl6
_chemical_formula_sum 'Ag4 Ir4 Cl24'
_space_group_name_H-M_alt 'F -4 3 m'
_space_group_IT_number 216
_space_group_name_Hall 'F -4 2 3'
_cell_length_a 9.375
_cell_length_b 9.375
_cell_length_c 9.375
_cell_angle_alpha 90.00
_cell_angle_beta 90.00
_cell_angle_gamma 90.00
loop_
_atom_site_label
_atom_site_fract_x
_atom_site_fract_y
_atom_site_fract_z
Ag1 0.000 0.000 0.000
Ir1 0.250 0.250 0.750
Cl1 0.004 0.250 0.750
```

Largest 6 diffraction maxima, sorted by position, 10° ≤ 2θ ≤ 80°:
| d [Å] | 2θ/deg | intensity | index |
| --- | --- | --- | --- |
| 5.413 | 16.38 | 100 | 1 1 1 |
| 3.315 | 26.90 | 47 | 2 2 0 |
| 2.827 | 31.65 | 57 | 3 1 1 |
| 2.344 | 38.41 | 47 | 4 0 0 |
| 2.151 | 42.01 | 25 | 3 3 1 |
| 1.657 | 55.44 | 30 | 4 4 0 |

[6]
Calculated X-ray powder pattern of ErZrTlC for Cu Kα (λ = 1.5418 Å), from a crystal structure in OQMD, relaxed with PBE.
Kinematic intensities with the Lorentz-polarization factor, no thermal factor.

Cell and atoms:
```
data_ErZrTlC
_chemical_formula_sum 'Er2 Zr2 Tl2 C2'
_space_group_name_H-M_alt 'P -6 m 2'
_space_group_IT_number 187
_space_group_name_Hall 'P -6 2'
_cell_length_a 3.4646
_cell_length_b 3.4646
_cell_length_c 15.5980
_cell_angle_alpha 90.00
_cell_angle_beta 90.00
_cell_angle_gamma 120.00
loop_
_atom_site_label
_atom_site_fract_x
_atom_site_fract_y
_atom_site_fract_z
Er1 0.0000 0.0000 0.1709
Zr1 0.6667 0.3333 0.3369
Tl1 0.0000 0.0000 0.5000
Tl2 0.6667 0.3333 0.0000
C1 0.3333 0.6667 0.2634
```

Largest 6 diffraction maxima, sorted by position, 10° ≤ 2θ ≤ 80°:
| d [Å] | 2θ/deg | intensity | index |
| --- | --- | --- | --- |
| 3.000 | 29.78 | 20 | 1 0 0 |
| 2.599 | 34.51 | 100 | 0 0 6 |
| 1.965 | 46.20 | 14 | 1 0 6 |
| 1.732 | 52.85 | 17 | 1 1 0 |
| 1.501 | 61.82 | 18 | 1 0 9 |
| 1.441 | 64.66 | 31 | 1 1 6 |

[7]
Calculated X-ray powder pattern of AgBS2O8 for Cu Kα (λ = 1.5418 Å), from a crystal structure in OQMD, relaxed with PBE.
Kinematic intensities with the Lorentz-polarization factor, no thermal factor.

Cell and atoms:
```
data_AgBS2O8
_chemical_formula_sum 'Ag4 B4 S8 O32'
_space_group_name_H-M_alt 'P 4/n c c'
_space_group_IT_number 130
_cell_length_a 8.562
_cell_length_b 8.562
_cell_length_c 7.242
_cell_angle_alpha 90.00
_cell_angle_beta 90.00
_cell_angle_gamma 90.00
loop_
_space_group_symop_operation_xyz
'x,y,z'
'-x,-y,-z'
'-y+1/2,x,z'
'y+1/2,-x,-z'
'-x+1/2,-y+1/2,z'
'x+1/2,y+1/2,-z'
'y,-x+1/2,z'
'-y,x+1/2,-z'
'x+1/2,-y,-z+1/2'
'-x+1/2,y,z+1/2'
'-y,-x,-z+1/2'
'y,x,z+1/2'
'-x,y+1/2,-z+1/2'
'x,-y+1/2,z+1/2'
'y+1/2,x+1/2,-z+1/2'
'-y+1/2,-x+1/2,z+1/2'
loop_
_atom_site_label
_atom_site_fract_x
_atom_site_fract_y
_atom_site_fract_z
Ag1 0.250 0.250 0.072
B1 0.250 0.750 0.000
S1 0.085 0.585 0.250
O1 0.066 0.111 0.332
O2 0.109 0.719 0.390
```

Largest 6 diffraction maxima, sorted by position, 10° ≤ 2θ ≤ 80°:
| d [Å] | 2θ/deg | intensity | index |
| --- | --- | --- | --- |
| 4.281 | 20.75 | 53 | 2 0 0 |
| 3.385 | 26.33 | 92 | 2 1 1 |
| 3.027 | 29.51 | 56 | 2 2 0 |
| 2.765 | 32.38 | 84 | 2 0 2 |
| 2.707 | 33.09 | 64 | 3 1 0 |
| 2.241 | 40.24 | 100 | 3 0 2 |

[8]
Calculated X-ray powder pattern of LuNbN2O for Cu Kα (λ = 1.5418 Å), from a crystal structure in OQMD, relaxed with PBE.
Kinematic intensities with the Lorentz-polarization factor, no thermal factor.

Cell and atoms:
```
data_LuNbN2O
_chemical_formula_sum 'Lu8 Nb8 N16 O8'
_space_group_name_H-M_alt 'P 1 21/c 1'
_space_group_IT_number 14
_cell_length_a 7.815
_cell_length_b 7.805
_cell_length_c 10.865
_cell_angle_alpha 90.00
_cell_angle_beta 132.82
_cell_angle_gamma 90.00
loop_
_space_group_symop_operation_xyz
'x,y,z'
'-x,-y,-z'
'-x,y+1/2,-z+1/2'
'x,-y+1/2,z+1/2'
loop_
_atom_site_label
_atom_site_fract_x
_atom_site_fract_y
_atom_site_fract_z
Lu1 0.062 0.222 0.028
Lu2 0.434 0.728 0.468
Nb1 0.030 0.010 0.269
Nb2 0.465 0.508 0.217
N1 0.046 0.747 0.218
N2 0.177 0.578 0.998
N3 0.315 0.065 0.315
N4 0.451 0.242 0.671
O1 0.176 0.542 0.495
O2 0.333 0.042 0.830
```

Largest 6 diffraction maxima, sorted by position, 10° ≤ 2θ ≤ 80°:
| d [Å] | 2θ/deg | intensity | index |
| --- | --- | --- | --- |
| 2.866 | 31.20 | 42 | 2 0 0 |
| 2.788 | 32.10 | 100 | 0 2 2 |
| 2.759 | 32.45 | 98 | 2 2 -2 |
| 2.716 | 32.98 | 55 | 2 0 -4 |
| 1.951 | 46.54 | 40 | 0 4 0 |
| 1.586 | 58.17 | 39 | 2 2 -6 |